The following is a calculated powder X-ray diffraction pattern of K2PdCl4. It was derived from a PBE-relaxed structure, using copper Kα.

Largest 12 diffraction maxima, in order of rising 2θ, 2θ = 15–90°:
(0 0 1), 2θ = 21.02°, rel. 41; (1 0 1), 2θ = 24.48°, rel. 57; (1 1 1), 2θ = 27.52°, rel. 100; (2 1 0), 2θ = 27.93°, rel. 21; (2 0 1), 2θ = 32.84°, rel. 21; (2 1 1), 2θ = 35.22°, rel. 23; (2 2 0), 2θ = 35.55°, rel. 70; (2 2 1), 2θ = 41.67°, rel. 22; (3 1 1), 2θ = 45.54°, rel. 43; (3 2 1), 2θ = 50.91°, rel. 22; (4 0 0), 2θ = 51.16°, rel. 21; (2 2 2), 2θ = 56.82°, rel. 32

Structural model:
```
K2PdCl4
1.0
7.142 0.000 0.000
0.000 7.142 0.000
0.000 0.000 4.226
K Pd Cl
2 1 4
direct
0.000 0.500 0.000 K
0.500 0.000 0.000 K
0.000 0.000 0.500 Pd
0.231 0.231 0.500 Cl
0.231 0.769 0.500 Cl
0.769 0.231 0.500 Cl
0.769 0.769 0.500 Cl
```